Structure and computed X-ray powder pattern of LiZn2FeCu4 (a cell relaxed with GGA-PBE; λ = 1.5418 Å (Cu Kα)).

Lattice parameters (Å, degrees): 4.0529 4.0529 5.7699 90.00 90.00 90.00
Space group P4/mmm (No. 123)
Unique sites:
Li  0.0000  0.0000  0.0000 x1
Zn  0.0000  0.0000  0.5000 x1
Zn  0.5000  0.5000  0.0000 x1
Fe  0.5000  0.5000  0.5000 x1
Cu  0.0000  0.5000  0.2525 x4

Most intense lines, 2θ = 10–90°, by angle:
| hkl | Position (°2θ) | Rel. int. |
| --- | --- | --- |
| 0 0 1 | 15.36 | 6 |
| 1 0 0 | 21.93 | 4 |
| 1 0 1 | 26.88 | 11 |
| 1 1 2 | 44.56 | 100 |
| 2 0 0 | 44.72 | 49 |
| 2 1 1 | 52.95 | 3 |
| 0 0 4 | 64.61 | 8 |
| 2 2 0 | 65.10 | 15 |
| 2 0 4 | 81.99 | 15 |
| 3 1 2 | 82.33 | 29 |

=====

Structure and computed X-ray powder pattern of Li4Zn2FeCu (a cell relaxed with GGA-PBE; λ = 1.5418 Å (Cu Kα)).

Lattice parameters (Å, degrees): 4.1771 4.1771 5.9754 90.00 90.00 90.00
Space group P-4m2 (No. 115)
Unique sites:
Li  0.0000  0.0000  0.0000 x1
Li  0.0000  0.5000  0.2432 x2
Li  0.5000  0.5000  0.5000 x1
Zn  0.0000  0.5000  0.7401 x2
Fe  0.0000  0.0000  0.5000 x1
Cu  0.5000  0.5000  0.0000 x1

Most intense lines, 2θ = 10–90°, by angle:
| hkl | Position (°2θ) | Rel. int. |
| --- | --- | --- |
| 1 0 1 | 26.03 | 100 |
| 1 1 2 | 43.06 | 68 |
| 2 0 0 | 43.32 | 33 |
| 1 0 3 | 50.78 | 15 |
| 2 1 1 | 51.24 | 29 |
| 2 2 0 | 62.93 | 10 |
| 2 1 3 | 68.91 | 11 |
| 2 0 4 | 78.76 | 10 |
| 3 1 2 | 79.30 | 20 |
| 3 2 1 | 85.35 | 6 |

=====

Structure and computed X-ray powder pattern of Mg2FeCu5 (a cell relaxed with GGA-PBE; λ = 1.5418 Å (Cu Kα)).

Lattice parameters (Å, degrees): 4.1655 4.1655 5.9174 90.00 90.00 90.00
Space group P4/mmm (No. 123)
Unique sites:
Mg  0.0000  0.0000  0.0000 x1
Mg  0.5000  0.5000  0.5000 x1
Fe  0.0000  0.0000  0.5000 x1
Cu  0.0000  0.5000  0.2560 x4
Cu  0.5000  0.5000  0.0000 x1

Most intense lines, 2θ = 10–90°, by angle:
| hkl | Position (°2θ) | Rel. int. |
| --- | --- | --- |
| 1 0 1 | 26.16 | 11 |
| 0 0 2 | 30.21 | 3 |
| 1 1 0 | 30.35 | 6 |
| 1 1 2 | 43.35 | 100 |
| 2 0 0 | 43.45 | 50 |
| 2 1 1 | 51.43 | 3 |
| 0 0 4 | 62.82 | 8 |
| 2 2 0 | 63.13 | 15 |
| 2 0 4 | 79.46 | 14 |
| 3 1 2 | 79.68 | 29 |

=====

Structure and computed X-ray powder pattern of FeCuMo4N2 (a cell relaxed with GGA-PBE; λ = 1.5418 Å (Cu Kα)).

Lattice parameters (Å, degrees): 2.8169 2.8169 14.4243 90.00 90.00 120.00
Space group P-6m2 (No. 187)
Unique sites:
Fe  0.0000  0.0000  0.0000 x1
Cu  0.6667  0.3333  0.5000 x1
Mo  0.0000  0.0000  0.3460 x2
Mo  0.6667  0.3333  0.1508 x2
N  0.3333  0.6667  0.2486 x2

Most intense lines, 2θ = 10–90°, by angle:
| hkl | Position (°2θ) | Rel. int. |
| --- | --- | --- |
| 0 0 4 | 24.69 | 7 |
| 1 0 0 | 36.84 | 20 |
| 0 0 6 | 37.40 | 28 |
| 1 0 3 | 41.51 | 100 |
| 1 0 6 | 53.52 | 15 |
| 1 0 7 | 58.64 | 7 |
| 1 1 0 | 66.37 | 18 |
| 1 0 9 | 70.27 | 12 |
| 1 1 6 | 78.75 | 15 |
| 2 0 3 | 81.39 | 13 |

=====

Structure and computed X-ray powder pattern of FeCuW4N2 (a cell relaxed with GGA-PBE; λ = 1.5418 Å (Cu Kα)).

Lattice parameters (Å, degrees): 2.8051 2.8051 14.5351 90.00 90.00 120.00
Space group P-6m2 (No. 187)
Unique sites:
Fe  0.0000  0.0000  0.0000 x1
Cu  0.6667  0.3333  0.5000 x1
W  0.0000  0.0000  0.3468 x2
W  0.6667  0.3333  0.1469 x2
N  0.3333  0.6667  0.2477 x2

Most intense lines, 2θ = 10–90°, by angle:
| hkl | Position (°2θ) | Rel. int. |
| --- | --- | --- |
| 0 0 4 | 24.50 | 24 |
| 1 0 0 | 37.00 | 22 |
| 0 0 6 | 37.11 | 21 |
| 1 0 1 | 37.54 | 18 |
| 1 0 3 | 41.59 | 100 |
| 1 0 6 | 53.41 | 14 |
| 1 0 7 | 58.47 | 18 |
| 1 1 0 | 66.69 | 19 |
| 1 1 6 | 78.85 | 17 |
| 2 0 3 | 81.74 | 14 |

=====

Structure and computed X-ray powder pattern of RbFeCuTeS2 (a cell relaxed with GGA-PBE; λ = 1.5418 Å (Cu Kα)).

Lattice parameters (Å, degrees): 3.5360 16.1334 9.8139 90.00 90.00 90.00
Space group Cmcm (No. 63)
Unique sites:
Rb  0.0000  0.2194  0.2500 x4
Fe  0.0000  0.0000  0.0000 x4
Cu  0.0000  0.4622  0.7500 x4
Te  0.0000  0.0780  0.7500 x4
S  0.0000  0.4085  0.5417 x8

Most intense lines, 2θ = 10–90°, by angle:
| hkl | Position (°2θ) | Rel. int. |
| --- | --- | --- |
| 0 2 0 | 10.97 | 88 |
| 0 0 2 | 18.08 | 36 |
| 0 4 1 | 23.85 | 16 |
| 1 3 1 | 31.63 | 100 |
| 1 3 2 | 35.47 | 26 |
| 0 0 4 | 36.63 | 34 |
| 1 3 3 | 41.17 | 27 |
| 1 5 2 | 42.15 | 17 |
| 1 7 2 | 50.82 | 31 |
| 1 3 5 | 56.27 | 28 |